Mn2ZnAs2: calculated X-ray diffraction stick pattern (Cu Kα), based on a PBE-relaxed structure.
Lines closer than 0.1° are merged.

Main lines, in order of rising 2θ (2θ = 10–90°):
2theta, intensity
25.99, 16.6
29.54, 98.0
38.42, 97.7
45.85, 100.0
50.27, 57.9
55.49, 16.0
61.31, 23.2
70.38, 20.2
79.81, 33.2
88.15, 22.4

Structure:
a = 3.9585 Å, b = 3.9585 Å, c = 6.4184 Å
α = 90.00°, β = 90.00°, γ = 120.00°
Space group P-3m1 (No. 164)
Asymmetric unit:
Mn1 0.3333 0.6667 0.3775 (multiplicity 2)
Zn1 0.0000 0.0000 0.0000 (multiplicity 1)
As1 0.3333 0.6667 0.7563 (multiplicity 2)